[1]
The following is a simulated powder XRD pattern of TlSb2O6. It was derived from a structure optimized by DFT (GGA-PBE), using copper Kα.
Neutral-atom scattering factors, no anomalous dispersion.

Cell and atoms:
```
data_TlSb2O6
_space_group_name_H-M_alt 'I m m a'
_space_group_IT_number 74
_space_group_name_Hall '-I 2b 2'
_cell_length_a 7.3375
_cell_length_b 7.3935
_cell_length_c 10.5437
_cell_angle_alpha 90.00
_cell_angle_beta 90.00
_cell_angle_gamma 90.00
loop_
_atom_site_label
_atom_site_type_symbol
_atom_site_fract_x
_atom_site_fract_y
_atom_site_fract_z
_atom_site_occupancy
Tl1 Tl 0.2500 0.2500 0.2500 1
Sb1 Sb 0.0000 0.0000 0.0000 1
Sb2 Sb 0.2500 0.2500 0.7500 1
O1 O 0.0000 0.2500 0.0736 1
O2 O 0.0000 0.2500 0.6824 1
O3 O 0.1976 0.0442 0.8729 1
```

Most intense lines, 2θ from 10° to 90°, by angle:
d/Å  I/Imax  hkl
6.026  67  1 0 1
5.272  40  0 0 2
3.669  20  2 0 0
3.151  18  1 2 1
3.027  100  0 2 2
3.011  99  2 0 2
2.636  24  0 0 4
2.604  45  2 2 0
2.335  20  2 2 2
1.853  59  2 2 4
1.575  29  2 4 2
1.569  29  4 2 2

***

[2]
The following is a simulated powder XRD pattern of TlSbO3. It was derived from a structure optimized by DFT (GGA-PBE), using copper Kα.
Neutral-atom scattering factors, no anomalous dispersion.

Cell and atoms:
```
data_TlSbO3
_space_group_name_H-M_alt 'R -3'
_space_group_IT_number 148
_space_group_name_Hall '-R 3'
_cell_length_a 5.4054
_cell_length_b 5.4054
_cell_length_c 22.5748
_cell_angle_alpha 90.00
_cell_angle_beta 90.00
_cell_angle_gamma 120.00
loop_
_atom_site_label
_atom_site_type_symbol
_atom_site_fract_x
_atom_site_fract_y
_atom_site_fract_z
_atom_site_occupancy
Tl1 Tl 0.0000 0.0000 0.1178 1
Sb1 Sb 0.0000 0.0000 0.3330 1
O1 O 0.0012 0.6181 0.0500 1
```

Most intense lines, 2θ from 10° to 90°, by angle:
d/Å  I/Imax  hkl
4.584  16  1 0 1
3.603  100  1 0 4
3.250  61  0 1 5
2.703  62  1 1 0
2.508  13  0 0 9
2.162  24  0 2 4
2.078  18  2 0 5
1.839  49  1 1 9
1.688  23  2 1 4
1.647  17  1 2 5
1.560  17  3 0 0
1.325  12  3 0 9

***

[3]
The following is a simulated powder XRD pattern of TlSbO3. It was derived from a structure optimized by DFT (GGA-PBE), using copper Kα.
Neutral-atom scattering factors, no anomalous dispersion.

Cell and atoms:
```
data_TlSbO3
_space_group_name_H-M_alt 'P 63 2 2'
_space_group_IT_number 182
_space_group_name_Hall 'P 6c 2c'
_cell_length_a 5.4030
_cell_length_b 5.4030
_cell_length_c 16.2438
_cell_angle_alpha 90.00
_cell_angle_beta 90.00
_cell_angle_gamma 120.00
loop_
_atom_site_label
_atom_site_type_symbol
_atom_site_fract_x
_atom_site_fract_y
_atom_site_fract_z
_atom_site_occupancy
Tl1 Tl 0.3333 0.6667 0.0547 1
Sb1 Sb 0.0000 0.0000 0.2500 1
Sb2 Sb 0.3333 0.6667 0.2500 1
O1 O 0.0641 0.3361 0.1777 1
```

Most intense lines, 2θ from 10° to 90°, by angle:
d/Å  I/Imax  hkl
4.496  100  1 0 1
4.056  86  0 0 4
3.540  34  1 0 3
2.702  95  1 1 0
2.669  89  1 0 5
2.249  43  1 1 4
1.912  38  1 1 6
1.899  39  2 0 5
1.560  22  3 0 0
1.553  36  2 1 5
1.392  25  1 1 10
1.351  20  2 2 0

***

[4]
The following is a simulated powder XRD pattern of Tl3Sb8O24. It was derived from a structure optimized by DFT (GGA-PBE), using copper Kα.
Neutral-atom scattering factors, no anomalous dispersion.

Cell and atoms:
```
data_Tl3Sb8O24
_space_group_name_H-M_alt 'P 1'
_space_group_IT_number 1
_space_group_name_Hall 'P 1'
_cell_length_a 7.3768
_cell_length_b 7.3849
_cell_length_c 12.7450
_cell_angle_alpha 73.61
_cell_angle_beta 73.67
_cell_angle_gamma 60.44
loop_
_atom_site_label
_atom_site_type_symbol
_atom_site_fract_x
_atom_site_fract_y
_atom_site_fract_z
_atom_site_occupancy
Tl1 Tl 0.0000 0.0000 0.0000 1
Tl2 Tl 0.2621 0.7254 0.4951 1
Tl3 Tl 0.6324 0.3541 0.4956 1
Sb1 Sb 0.0254 0.6206 0.3242 1
Sb2 Sb 0.0299 0.6173 0.8250 1
Sb3 Sb 0.0310 0.1247 0.3123 1
Sb4 Sb 0.2794 0.3701 0.0739 1
Sb5 Sb 0.5270 0.1213 0.8252 1
Sb6 Sb 0.5276 0.1186 0.3242 1
Sb7 Sb 0.5275 0.6168 0.8252 1
Sb8 Sb 0.7636 0.8562 0.5787 1
O1 O 0.0104 0.7142 0.6613 1
O2 O 0.0442 0.5381 0.9859 1
O3 O 0.1147 0.6041 0.1636 1
O4 O 0.1158 0.2087 0.1554 1
O5 O 0.1460 0.8230 0.3022 1
O6 O 0.2393 0.7300 0.7894 1
O7 O 0.2443 0.3353 0.7856 1
O8 O 0.3068 0.0130 0.3660 1
O9 O 0.3106 0.4037 0.3600 1
O10 O 0.4198 0.9073 0.8578 1
O11 O 0.4346 0.5374 0.9866 1
O12 O 0.4412 0.1364 0.9858 1
O13 O 0.5129 0.2069 0.1634 1
O14 O 0.5423 0.0518 0.4866 1
O15 O 0.6061 0.6994 0.6613 1
O16 O 0.6220 0.1020 0.6615 1
O17 O 0.6369 0.3323 0.7876 1
O18 O 0.7289 0.2401 0.3029 1
O19 O 0.7402 0.8336 0.2937 1
O20 O 0.8151 0.9061 0.8594 1
O21 O 0.8164 0.5101 0.8583 1
O22 O 0.9198 0.4000 0.3662 1
O23 O 0.9362 0.0287 0.4854 1
O24 O 0.9590 0.6354 0.4865 1
```

Most intense lines, 2θ from 10° to 90°, by angle:
d/Å  I/Imax  hkl
6.031  100  1 1 0
5.244  23  1 0 -1
5.191  26  1 1 2
3.158  87  1 0 -3
3.135  80  2 2 2
3.019  54  0 2 2
3.012  19  0 0 4
2.622  18  2 0 -2
2.009  23  0 0 6
1.850  15  2 2 -4
1.844  25  4 2 2
1.568  16  4 4 4